Record 1
For TmLuCo2Ge2C, DFT lattice parameters and positions (GGA-PBE) gives the simulated X-ray diffraction stick pattern in this record (Cu Kα X-rays).
Kinematic intensities with the Lorentz-polarization factor, no thermal factor.

Cell and atoms:
Lattice parameters (Å, degrees): 5.6432 5.6432 6.7197 125.18 125.18 40.06
Fractional coordinates of all 7 atoms:
Tm  0.0000  0.0000  0.0000
Lu  0.1175  0.1175  0.5790
Co  0.3656  0.3656  0.2060
Co  0.7529  0.7529  0.3747
Ge  0.4002  0.4002  0.5952
Ge  0.7173  0.7173  0.9836
C  0.5598  0.5598  0.2923

Principal peaks in the range 2θ = 15–90°, in order of rising 2θ:
2theta  intensity
34.05  39.5
34.49  73.2
35.13  43.0
36.84  100.0
39.83  53.5
47.01  40.4

Record 2
For Y2Co2SnGeC, DFT lattice parameters and positions (GGA-PBE) gives the simulated X-ray diffraction stick pattern in this record (Cu Kα X-rays).
Kinematic intensities with the Lorentz-polarization factor, no thermal factor.

Cell and atoms:
Lattice parameters (Å, degrees): 5.8900 5.8900 7.0200 125.54 125.54 39.71
Fractional coordinates of all 7 atoms:
Y  0.0000  0.0000  0.0000
Y  0.1135  0.1135  0.5692
Co  0.3812  0.3812  0.2285
Co  0.7507  0.7507  0.3860
Sn  0.7185  0.7185  0.9904
Ge  0.3914  0.3914  0.5826
C  0.5631  0.5631  0.2958

Principal peaks in the range 2θ = 15–90°, in order of rising 2θ:
2theta  intensity
32.81  55.4
33.12  65.1
35.40  86.8
38.30  100.0
40.11  53.6
45.33  53.1

Record 3
For TbYCo2Ge2C, DFT lattice parameters and positions (GGA-PBE) gives the simulated X-ray diffraction stick pattern in this record (Cu Kα X-rays).
Kinematic intensities with the Lorentz-polarization factor, no thermal factor.

Cell and atoms:
Lattice parameters (Å, degrees): 5.7239 5.7239 6.8462 125.64 125.64 40.17
Fractional coordinates of all 7 atoms:
Tb  0.0000  0.0000  0.0000
Y  0.1186  0.1186  0.5867
Co  0.3682  0.3682  0.2116
Co  0.7500  0.7500  0.3745
Ge  0.3954  0.3954  0.5878
Ge  0.7228  0.7228  0.9982
C  0.5591  0.5591  0.2931

Principal peaks in the range 2θ = 15–90°, in order of rising 2θ:
2theta  intensity
33.64  53.1
34.02  82.3
34.76  43.6
36.24  100.0
39.41  73.0
46.18  48.7

Repeat the second record exactly.
For Y2Co2SnGeC, DFT lattice parameters and positions (GGA-PBE) gives the simulated X-ray diffraction stick pattern in this record (Cu Kα X-rays).
Kinematic intensities with the Lorentz-polarization factor, no thermal factor.

Cell and atoms:
Lattice parameters (Å, degrees): 5.8900 5.8900 7.0200 125.54 125.54 39.71
Fractional coordinates of all 7 atoms:
Y  0.0000  0.0000  0.0000
Y  0.1135  0.1135  0.5692
Co  0.3812  0.3812  0.2285
Co  0.7507  0.7507  0.3860
Sn  0.7185  0.7185  0.9904
Ge  0.3914  0.3914  0.5826
C  0.5631  0.5631  0.2958

Principal peaks in the range 2θ = 15–90°, in order of rising 2θ:
2theta  intensity
32.81  55.4
33.12  65.1
35.40  86.8
38.30  100.0
40.11  53.6
45.33  53.1

Please write out number 1 again, unchanged.
For TmLuCo2Ge2C, DFT lattice parameters and positions (GGA-PBE) gives the simulated X-ray diffraction stick pattern in this record (Cu Kα X-rays).
Kinematic intensities with the Lorentz-polarization factor, no thermal factor.

Cell and atoms:
Lattice parameters (Å, degrees): 5.6432 5.6432 6.7197 125.18 125.18 40.06
Fractional coordinates of all 7 atoms:
Tm  0.0000  0.0000  0.0000
Lu  0.1175  0.1175  0.5790
Co  0.3656  0.3656  0.2060
Co  0.7529  0.7529  0.3747
Ge  0.4002  0.4002  0.5952
Ge  0.7173  0.7173  0.9836
C  0.5598  0.5598  0.2923

Principal peaks in the range 2θ = 15–90°, in order of rising 2θ:
2theta  intensity
34.05  39.5
34.49  73.2
35.13  43.0
36.84  100.0
39.83  53.5
47.01  40.4